The following is a simulated powder XRD pattern of Li7Mn8B8O24. It was derived from the PBE+U geometry in the Materials Project, using Cu Kα X-rays.
Peak positions follow from Bragg's law for the DFT cell and can differ from measured ones.

Cell and atoms:
Unit cell a=5.275 b=9.077 c=11.550 alpha=68.10 beta=77.94 gamma=89.63
Positions (direct):
Li (0.000, 0.000, 0.000)
Li (0.024, 0.038, 0.245)
Li (0.199, 0.270, 0.494)
Li (0.251, 0.298, 0.745)
Li (0.509, 0.510, 0.988)
Li (0.703, 0.770, 0.486)
Li (0.755, 0.797, 0.751)
Mn (0.013, 0.676, 0.278)
Mn (0.197, 0.924, 0.526)
Mn (0.249, 0.617, 0.773)
Mn (0.480, 0.820, 0.036)
Mn (0.497, 0.222, 0.275)
Mn (0.687, 0.408, 0.524)
Mn (0.747, 0.114, 0.781)
Mn (0.974, 0.324, 0.027)
B (0.194, 0.574, 0.528)
B (0.249, 0.945, 0.788)
B (0.466, 0.154, 0.036)
B (0.488, 0.875, 0.284)
B (0.693, 0.073, 0.537)
B (0.750, 0.446, 0.782)
B (0.975, 0.649, 0.031)
B (0.982, 0.364, 0.286)
O (0.070, 0.752, 0.084)
O (0.125, 0.071, 0.806)
O (0.134, 0.848, 0.740)
O (0.146, 0.552, 0.991)
O (0.200, 0.130, 0.052)
O (0.223, 0.367, 0.309)
O (0.286, 0.427, 0.554)
O (0.309, 0.687, 0.559)
O (0.338, 0.986, 0.319)
O (0.367, 0.779, 0.238)
O (0.463, 0.116, 0.497)
O (0.489, 0.912, 0.821)
O (0.565, 0.278, 0.063)
O (0.630, 0.578, 0.792)
O (0.631, 0.346, 0.738)
O (0.636, 0.055, 0.996)
O (0.725, 0.653, 0.018)
O (0.744, 0.860, 0.294)
O (0.791, 0.927, 0.548)
O (0.810, 0.474, 0.313)
O (0.828, 0.179, 0.569)
O (0.897, 0.256, 0.239)
O (0.971, 0.610, 0.473)
O (0.991, 0.414, 0.816)

The 10 most intense peaks (2θ from 10° to 90°), in order of rising 2θ:
2θ (°)	I/Imax
19.5	47
21.4	42
21.5	24
25.5	20
25.7	20
26.3	25
34.0	42
34.3	100
40.5	25
48.4	24


The following is a simulated powder XRD pattern of La7SmCo5Cu3O24. It was derived from the PBE+U geometry in the Materials Project, using Cu Kα X-rays.
Peak positions follow from Bragg's law for the DFT cell and can differ from measured ones.

Cell and atoms:
Unit cell a=7.676 b=7.676 c=7.686 alpha=90.00 beta=90.00 gamma=90.02
Positions (direct):
La (0.000, 0.000, 0.000)
La (0.000, 0.000, 0.498)
La (0.000, 0.502, 0.000)
La (0.000, 0.502, 0.498)
La (0.502, 0.000, 0.000)
La (0.502, 0.000, 0.498)
La (0.502, 0.502, 0.000)
Sm (0.502, 0.502, 0.499)
Co (0.251, 0.251, 0.249)
Co (0.251, 0.751, 0.249)
Co (0.751, 0.251, 0.249)
Co (0.751, 0.751, 0.249)
Co (0.751, 0.751, 0.749)
Cu (0.251, 0.251, 0.749)
Cu (0.251, 0.751, 0.749)
Cu (0.751, 0.251, 0.749)
O (0.000, 0.251, 0.749)
O (0.000, 0.751, 0.249)
O (0.001, 0.252, 0.249)
O (0.251, 0.000, 0.749)
O (0.251, 0.251, 0.002)
O (0.251, 0.751, 0.004)
O (0.252, 0.001, 0.249)
O (0.252, 0.502, 0.251)
O (0.253, 0.253, 0.496)
O (0.253, 0.502, 0.747)
O (0.253, 0.749, 0.494)
O (0.502, 0.252, 0.251)
O (0.502, 0.253, 0.747)
O (0.502, 0.749, 0.251)
O (0.507, 0.749, 0.747)
O (0.749, 0.253, 0.494)
O (0.749, 0.502, 0.251)
O (0.749, 0.507, 0.747)
O (0.749, 0.749, 0.498)
O (0.751, 0.000, 0.249)
O (0.751, 0.251, 0.004)
O (0.751, 0.751, 0.001)
O (0.751, 0.995, 0.749)
O (0.995, 0.751, 0.749)

The 10 most intense peaks (2θ from 10° to 90°), in order of rising 2θ:
2θ (°)	I/Imax
23.2	11
33.0	100
40.7	16
47.4	32
53.4	6
58.9	38
69.2	18
78.8	5
78.9	11
88.1	6


The following is a simulated powder XRD pattern of Li9Mn2Co5O16. It was derived from the PBE+U geometry in the Materials Project, using Cu Kα X-rays.
Peak positions follow from Bragg's law for the DFT cell and can differ from measured ones.

Cell and atoms:
Unit cell a=5.844 b=7.712 c=7.739 alpha=66.99 beta=67.83 gamma=67.98
Positions (direct):
Li (0.000, 0.000, 0.000)
Li (0.000, 0.500, 0.500)
Li (0.124, 0.380, 0.866)
Li (0.246, 0.753, 0.749)
Li (0.372, 0.130, 0.618)
Li (0.500, 0.500, 0.500)
Li (0.628, 0.870, 0.382)
Li (0.754, 0.247, 0.251)
Li (0.876, 0.620, 0.134)
Mn (0.374, 0.621, 0.130)
Mn (0.626, 0.379, 0.870)
Co (0.124, 0.868, 0.386)
Co (0.250, 0.252, 0.250)
Co (0.500, 0.000, 0.000)
Co (0.750, 0.748, 0.750)
Co (0.876, 0.132, 0.614)
O (0.029, 0.756, 0.242)
O (0.095, 0.643, 0.628)
O (0.154, 0.119, 0.130)
O (0.247, 0.995, 0.495)
O (0.273, 0.506, 0.996)
O (0.365, 0.390, 0.349)
O (0.396, 0.850, 0.892)
O (0.495, 0.742, 0.244)
O (0.505, 0.258, 0.756)
O (0.604, 0.150, 0.108)
O (0.635, 0.610, 0.651)
O (0.727, 0.494, 0.004)
O (0.753, 0.005, 0.505)
O (0.846, 0.881, 0.870)
O (0.905, 0.357, 0.372)
O (0.971, 0.244, 0.758)

The 10 most intense peaks (2θ from 10° to 90°), in order of rising 2θ:
2θ (°)	I/Imax
18.4	100
35.2	16
36.3	13
36.5	12
42.4	29
44.1	26
44.3	26
47.6	9
62.8	15
62.9	7